(1)
Diffraction record for Tm5Lu3Te. The powder diffraction line list is simulated, not measured: it uses a cell relaxed with PBE and Cu Ka.
Lines closer than 0.1° are merged.

Lattice parameters (Å, degrees): 9.0473 9.0473 3.7060 90.00 90.00 120.00
Fractional coordinates of all 9 atoms:
Tm (0.0000, 0.6141, 0.0000)
Tm (0.3333, 0.6667, 0.5000)
Tm (0.3859, 0.3859, 0.0000)
Tm (0.6141, 0.0000, 0.0000)
Tm (0.6667, 0.3333, 0.5000)
Lu (0.0000, 0.2770, 0.5000)
Lu (0.2770, 0.0000, 0.5000)
Lu (0.7230, 0.7230, 0.5000)
Te (0.0000, 0.0000, 0.0000)

Main lines, by intensity (2θ = 10–90°):
- 31.20°, d = 2.867 Å, intensity 100
- 34.34°, d = 2.612 Å, intensity 78
- 33.28°, d = 2.692 Å, intensity 55
- 30.18°, d = 2.961 Å, intensity 39
- 56.94°, d = 1.617 Å, intensity 37
- 61.34°, d = 1.511 Å, intensity 29
- 38.93°, d = 2.314 Å, intensity 26
- 49.17°, d = 1.853 Å, intensity 16
- 47.07°, d = 1.931 Å, intensity 14
- 64.57°, d = 1.443 Å, intensity 14


(2)
Diffraction record for Tm2Lu6Te. The powder diffraction line list is simulated, not measured: it uses a cell relaxed with PBE and Cu Ka.
Lines closer than 0.1° are merged.

Lattice parameters (Å, degrees): 9.0220 9.0220 3.6925 90.00 90.00 120.00
Fractional coordinates of all 9 atoms:
Tm (0.3333, 0.6667, 0.0000)
Tm (0.6667, 0.3333, 0.0000)
Lu (0.0000, 0.2772, 0.0000)
Lu (0.0000, 0.6139, 0.5000)
Lu (0.2772, 0.0000, 0.0000)
Lu (0.3861, 0.3861, 0.5000)
Lu (0.6139, 0.0000, 0.5000)
Lu (0.7228, 0.7228, 0.0000)
Te (0.0000, 0.0000, 0.5000)

Main lines, by intensity (2θ = 10–90°):
- 31.31°, d = 2.857 Å, intensity 100
- 34.44°, d = 2.604 Å, intensity 77
- 33.39°, d = 2.683 Å, intensity 54
- 30.26°, d = 2.953 Å, intensity 39
- 57.12°, d = 1.613 Å, intensity 36
- 61.57°, d = 1.506 Å, intensity 29
- 39.06°, d = 2.306 Å, intensity 25
- 49.36°, d = 1.846 Å, intensity 15
- 64.78°, d = 1.439 Å, intensity 14
- 47.22°, d = 1.925 Å, intensity 14


(3)
Diffraction record for TmLuZnTe3. The powder diffraction line list is simulated, not measured: it uses a cell relaxed with PBE and Cu Ka.
Lines closer than 0.1° are merged.

Lattice parameters (Å, degrees): 7.7405 7.7405 10.4311 90.00 90.00 149.48
Fractional coordinates of all 12 atoms:
Tm (0.0000, 0.0000, 0.0000)
Tm (0.0000, 0.0000, 0.5000)
Lu (0.2227, 0.7773, 0.7500)
Lu (0.7773, 0.2227, 0.2500)
Zn (0.4796, 0.5204, 0.2500)
Zn (0.5204, 0.4796, 0.7500)
Te (0.1192, 0.8808, 0.2500)
Te (0.3484, 0.6516, 0.0520)
Te (0.3484, 0.6516, 0.4480)
Te (0.6516, 0.3484, 0.5520)
Te (0.6516, 0.3484, 0.9480)
Te (0.8808, 0.1192, 0.7500)

Main lines, by intensity (2θ = 10–90°):
- 33.20°, d = 2.698 Å, intensity 100
- 34.41°, d = 2.606 Å, intensity 40
- 29.60°, d = 3.018 Å, intensity 35
- 44.47°, d = 2.037 Å, intensity 20
- 28.31°, d = 3.153 Å, intensity 20
- 20.77°, d = 4.276 Å, intensity 16
- 40.14°, d = 2.246 Å, intensity 14
- 58.53°, d = 1.577 Å, intensity 12
- 44.78°, d = 2.024 Å, intensity 12
- 52.61°, d = 1.740 Å, intensity 11


(4)
Diffraction record for TmLu. The powder diffraction line list is simulated, not measured: it uses a cell relaxed with PBE and Cu Ka.
Lines closer than 0.1° are merged.

Lattice parameters (Å, degrees): 3.5235 3.5235 5.4966 90.00 90.00 120.00
Fractional coordinates of all 2 atoms:
Tm (0.0000, 0.0000, 0.0000)
Lu (0.3333, 0.6667, 0.5000)

Main lines, by intensity (2θ = 10–90°):
- 33.59°, d = 2.668 Å, intensity 100
- 32.58°, d = 2.748 Å, intensity 24
- 29.27°, d = 3.051 Å, intensity 24
- 62.63°, d = 1.483 Å, intensity 22
- 58.78°, d = 1.571 Å, intensity 20
- 51.90°, d = 1.762 Å, intensity 20
- 63.25°, d = 1.470 Å, intensity 16
- 44.36°, d = 2.042 Å, intensity 16
- 86.15°, d = 1.129 Å, intensity 14
- 82.22°, d = 1.172 Å, intensity 8